# 1
The following is a calculated powder diffraction line list of Na5V2P3O15. It was derived from DFT lattice parameters and positions (GGA+U), using Cu Kα, 1.54184 Å.
Intensities are scaled so that the largest is 100.

Main lines, most intense first (2θ from 15° to 90°):
Position (°2θ), I/Imax, (hkl)
16.97, 100, 0 0 1
31.45, 75, 0 6 1
34.32, 43, 0 0 2
33.25, 36, 2 0 1
26.30, 33, 0 6 0
32.67, 27, 2 0 -1
29.43, 25, 2 2 0
33.89, 22, 2 2 -1
22.66, 16, 1 1 1
42.89, 16, 3 1 0

Structure:
abc: 6.3614 20.3349 5.2272
angles: 90.00 91.16 90.00
Space group Cm (No. 8)
Inequivalent atoms, fractional coordinates:
Na 0.0000 0.0000 0.0000
Na 0.0704 0.2378 0.3775
Na 0.1421 0.4138 0.4084
V 0.3152 0.1508 0.8960
P 0.3118 0.3139 0.8931
P 0.4722 0.0000 0.9335
O 0.0118 0.1486 0.9925
O 0.0208 0.0000 0.5031
O 0.0301 0.5000 0.6538
O 0.1185 0.3504 0.0071
O 0.1607 0.5000 0.1180
O 0.2976 0.3103 0.6026
O 0.3170 0.2436 0.0219
O 0.3202 0.0600 0.9972
O 0.3204 0.1569 0.5817

=====

# 2
The following is a calculated powder diffraction line list of CsNiF3. It was derived from DFT lattice parameters and positions (GGA+U), using Cu Kα, 1.54184 Å.
Intensities are scaled so that the largest is 100.

Main lines, most intense first (2θ from 15° to 90°):
Position (°2θ), I/Imax, (hkl)
21.43, 100, 1 0 1
23.95, 96, 1 1 0
40.66, 50, 2 1 1
50.41, 30, 2 1 2
43.67, 22, 2 0 2
35.95, 18, 1 0 2
42.13, 16, 3 0 0
49.04, 15, 2 2 0
32.36, 14, 2 0 1
62.29, 13, 3 1 2

Structure:
abc: 7.4297 7.4297 5.4210
angles: 90.00 90.00 120.00
Space group P6_3/mmc (No. 194)
Inequivalent atoms, fractional coordinates:
Cs 0.3333 0.6667 0.2500
Ni 0.0000 0.0000 0.0000
F 0.1186 0.2372 0.2500

=====

# 3
The following is a calculated powder diffraction line list of FeOF. It was derived from DFT lattice parameters and positions (GGA+U), using Cu Kα, 1.54184 Å.
Intensities are scaled so that the largest is 100.

Main lines, most intense first (2θ from 15° to 90°):
Position (°2θ), I/Imax, (hkl)
26.62, 100, 3 0 3
34.46, 57, 0 1 3
52.30, 27, 6 1 3
66.17, 24, 0 1 9
39.51, 20, 3 1 3
54.83, 16, 6 0 6
52.17, 16, 3 1 6
52.13, 16, 3 1 -6
59.33, 10, 0 2 0
66.58, 8, 9 1 0

Structure:
abc: 14.1612 3.1153 14.2557
angles: 90.00 90.07 90.00
Space group Pm (No. 6)
Inequivalent atoms, fractional coordinates:
Fe 0.0000 0.0000 0.0000
Fe 0.0001 0.0000 0.3344
Fe 0.0017 0.0000 0.6635
Fe 0.1393 0.5000 0.8321
Fe 0.1396 0.5000 0.1677
Fe 0.1440 0.5000 0.4966
Fe 0.3118 0.0000 0.3535
Fe 0.3311 0.0000 0.9990
Fe 0.3321 0.0000 0.6661
Fe 0.4726 0.5000 0.4992
Fe 0.4733 0.5000 0.8326
Fe 0.4764 0.5000 0.1638
Fe 0.6660 0.0000 0.6661
Fe 0.6672 0.0000 0.3345
Fe 0.6687 0.0000 0.9974
Fe 0.8073 0.5000 0.1667
Fe 0.8080 0.5000 0.5005
Fe 0.8096 0.5000 0.8308
O 0.0515 0.5000 0.9377
O 0.0522 0.5000 0.2716
O 0.0528 0.5000 0.6029
O 0.0852 0.0000 0.4389
O 0.0883 0.0000 0.1047
O 0.0889 0.0000 0.7702
O 0.2516 0.5000 0.4045
O 0.3853 0.5000 0.6042
O 0.3858 0.5000 0.9391
O 0.4199 0.0000 0.1074
O 0.4213 0.0000 0.7713
O 0.4233 0.0000 0.4346
O 0.7167 0.5000 0.2701
O 0.7181 0.5000 0.6043
O 0.7198 0.5000 0.9361
O 0.7546 0.0000 0.1043
O 0.7554 0.0000 0.4382
O 0.7554 0.0000 0.7705
F 0.2191 0.0000 0.5731
F 0.2190 0.0000 0.9023
F 0.2223 0.0000 0.2324
F 0.2547 0.5000 0.0679
F 0.2550 0.5000 0.7365
F 0.3836 0.5000 0.2719
F 0.5483 0.0000 0.2358
F 0.5520 0.0000 0.5682
F 0.5524 0.0000 0.9024
F 0.5867 0.5000 0.0692
F 0.5875 0.5000 0.7356
F 0.5880 0.5000 0.4017
F 0.8850 0.0000 0.2352
F 0.8853 0.0000 0.5680
F 0.8861 0.0000 0.9013
F 0.9202 0.5000 0.4022
F 0.9207 0.5000 0.0685
F 0.9218 0.5000 0.7340

=====

# 4
The following is a calculated powder diffraction line list of Sr2CoSbO6. It was derived from DFT lattice parameters and positions (GGA+U), using Cu Kα, 1.54184 Å.
Intensities are scaled so that the largest is 100.

Main lines, most intense first (2θ from 15° to 90°):
Position (°2θ), I/Imax, (hkl)
31.56, 100, 2 2 4
31.83, 49, 4 0 0
45.64, 34, 4 4 0
65.90, 21, 4 4 8
56.03, 20, 4 0 8
56.49, 19, 2 6 4
56.61, 19, 6 2 4
44.83, 18, 0 0 8
75.52, 12, 6 6 4
19.23, 11, 2 0 2

Structure:
abc: 11.2282 11.2601 16.1724
angles: 90.00 90.00 90.00
Space group Fdd2 (No. 43)
Inequivalent atoms, fractional coordinates:
Sr 0.0015 0.2487 0.0000
Sr 0.0011 0.2511 0.2501
Co 0.0000 0.0000 0.1244
Co 0.0000 0.0000 0.6259
Sb 0.0000 0.0000 0.3751
Sb 0.0000 0.0000 0.8751
O 0.0000 0.0000 0.2529
O 0.0000 0.0000 0.4972
O 0.0000 0.0000 0.7511
O 0.0000 0.0000 0.9989
O 0.1233 0.1241 0.6244
O 0.1231 0.3769 0.6257
O 0.1242 0.3750 0.3752
O 0.1251 0.1246 0.8749

=====

# 5
The following is a calculated powder diffraction line list of Mn2O3F. It was derived from DFT lattice parameters and positions (GGA+U), using Cu Kα, 1.54184 Å.
Intensities are scaled so that the largest is 100.

Main lines, most intense first (2θ from 15° to 90°):
Position (°2θ), I/Imax, (hkl)
35.63, 100, 2 2 1
28.13, 92, 0 0 2
26.87, 91, 0 4 0
53.36, 56, 2 6 1
54.79, 54, 2 2 3
68.89, 50, 2 6 3
55.38, 18, 0 8 0
61.50, 16, 4 0 0
39.30, 16, 0 4 2
40.42, 16, 2 4 0

Structure:
abc: 6.0312 13.2713 6.3442
angles: 90.00 90.00 90.00
Space group Cmcm (No. 63)
Inequivalent atoms, fractional coordinates:
Mn 0.0000 0.1219 0.2500
Mn 0.0000 0.3737 0.7500
Mn 0.2487 0.3750 0.2500
O 0.0000 0.0313 0.7500
O 0.0000 0.2811 0.2500
O 0.2485 0.3753 0.5589
F 0.0000 0.2321 0.7500
F 0.0000 0.4839 0.2500